Entry 1:
Diffraction record for K2NF7. The powder XRD pattern is computed, not measured: it uses a cell relaxed with GGA-PBE and copper Kα.

Atomic structure:
Cell: 7.266 7.874 8.142 Å, 80.40 63.57 68.77°
Space group P-1 (No. 2)
Unique sites:
K 0.118 0.019 0.250 [2 per cell]
K 0.377 0.996 0.750 [2 per cell]
N 0.303 0.570 0.295 [2 per cell]
F 0.053 0.864 0.006 [2 per cell]
F 0.194 0.136 0.504 [2 per cell]
F 0.216 0.481 0.225 [2 per cell]
F 0.239 0.509 0.478 [2 per cell]
F 0.306 0.864 0.498 [2 per cell]
F 0.451 0.136 0.994 [2 per cell]
F 0.474 0.533 0.783 [2 per cell]

Top 10 peaks for 2θ = 5–70°, by angle:
- (0 1 0), 12.1 deg, 7.336 Å, intensity 100
- (1 0 1), 14.4 deg, 6.138 Å, intensity 26
- (0 2 0), 24.3 deg, 3.670 Å, intensity 89
- (0 2 -2), 34.8 deg, 2.578 Å, intensity 28
- (2 1 3), 35.0 deg, 2.566 Å, intensity 68
- (2 0 -1), 36.1 deg, 2.486 Å, intensity 47
- (2 0 3), 36.3 deg, 2.477 Å, intensity 36
- (2 3 1), 36.7 deg, 2.448 Å, intensity 27
- (2 2 -1), 38.0 deg, 2.367 Å, intensity 50
- (0 0 4), 50.0 deg, 1.823 Å, intensity 23

Entry 2:
Diffraction record for KNF5. The powder XRD pattern is computed, not measured: it uses a cell relaxed with GGA-PBE and copper Kα.

Atomic structure:
Cell: 5.141 5.147 10.322 Å, 98.80 96.65 90.87°
Space group P-1 (No. 2)
Unique sites:
K 0.000 0.000 0.000 [1 per cell]
K 0.500 0.500 0.000 [1 per cell]
N 0.219 0.682 0.372 [2 per cell]
F 0.022 0.527 0.099 [2 per cell]
F 0.113 0.927 0.353 [2 per cell]
F 0.276 0.714 0.510 [2 per cell]
F 0.473 0.710 0.333 [2 per cell]
F 0.477 0.969 0.901 [2 per cell]

Top 10 peaks for 2θ = 5–70°, by angle:
- (0 0 1), 8.7 deg, 10.127 Å, intensity 64
- (0 0 2), 17.5 deg, 5.064 Å, intensity 100
- (0 1 -1), 18.3 deg, 4.856 Å, intensity 28
- (1 1 0), 25.1 deg, 3.543 Å, intensity 47
- (0 0 3), 26.4 deg, 3.376 Å, intensity 37
- (0 2 -1), 35.0 deg, 2.561 Å, intensity 55
- (2 0 -1), 35.2 deg, 2.549 Å, intensity 78
- (-1 1 3), 36.7 deg, 2.450 Å, intensity 24
- (0 2 1), 37.8 deg, 2.379 Å, intensity 28
- (1 1 3), 40.3 deg, 2.239 Å, intensity 23

> Number 2 is which compound?

KNF5